No. 1
Starting from a DFT-relaxed cell (PBE, Alexandria), the powder diffractogram of Nd2SmDy2Er was simulated for Cu Kα (λ = 1.5418 Å).
No peak broadening, texture or thermal motion is included.

The 6 most intense peaks (2θ = 10–80°), in order of rising 2θ:
2theta	I (rel.)
28.72	100
29.69	77
30.21	77
31.21	42
33.57	69
40.92	71

Crystal structure
Cell lengths 6.6206, 18.0557, 3.3964 Å; angles 90.00, 90.00, 90.00 degrees
Positions (direct):
Nd (0.2300, 0.1855, 0.0000)
Nd (0.2700, 0.6855, 0.5000)
Nd (0.7300, 0.3145, 0.5000)
Nd (0.7700, 0.8145, 0.0000)
Sm (0.0000, 0.5000, 0.0000)
Sm (0.5000, 0.0000, 0.5000)
Dy (0.2283, 0.3543, 0.5000)
Dy (0.2717, 0.8543, 0.0000)
Dy (0.7283, 0.1457, 0.0000)
Dy (0.7717, 0.6457, 0.5000)
Er (0.0000, 0.0000, 0.0000)
Er (0.5000, 0.5000, 0.5000)

No. 2
Starting from a DFT-relaxed cell (PBE, Alexandria), the powder diffractogram of Sc3TlSe was simulated for Cu Kα (λ = 1.5418 Å).
No peak broadening, texture or thermal motion is included.

The 6 most intense peaks (2θ = 10–80°), in order of rising 2θ:
2theta	I (rel.)
22.65	100
26.58	56
32.77	93
37.02	26
37.48	55
44.85	30

Crystal structure
Cell lengths 8.2490, 8.2490, 3.7090 Å; angles 90.00, 90.00, 107.86 degrees
Positions (direct):
Sc (0.1860, 0.8140, 0.0000)
Sc (0.1914, 0.4284, 0.5000)
Sc (0.4284, 0.1914, 0.5000)
Sc (0.5716, 0.8086, 0.5000)
Sc (0.8086, 0.5716, 0.5000)
Sc (0.8140, 0.1860, 0.0000)
Tl (0.0000, 0.0000, 0.5000)
Tl (0.5000, 0.5000, 0.0000)
Se (0.0000, 0.5000, 0.0000)
Se (0.5000, 0.0000, 0.0000)

No. 3
Starting from a DFT-relaxed cell (PBE, Alexandria), the powder diffractogram of Ba2CaGe2O6 was simulated for Cu Kα (λ = 1.5418 Å).
No peak broadening, texture or thermal motion is included.

The 6 most intense peaks (2θ = 10–80°), in order of rising 2θ:
2theta	I (rel.)
14.10	23
25.49	35
29.25	56
29.71	100
39.54	29
53.31	43

Crystal structure
Cell lengths 7.1783, 7.1783, 7.1783 Å; angles 49.53, 49.53, 49.53 degrees
Positions (direct):
Ba (0.2211, 0.2211, 0.2211)
Ba (0.7789, 0.7789, 0.7789)
Ca (0.0000, 0.0000, 0.0000)
Ge (0.4380, 0.4380, 0.4380)
Ge (0.5620, 0.5620, 0.5620)
O (0.2486, 0.2486, 0.7438)
O (0.2486, 0.7438, 0.2486)
O (0.2562, 0.7514, 0.7514)
O (0.7438, 0.2486, 0.2486)
O (0.7514, 0.2562, 0.7514)
O (0.7514, 0.7514, 0.2562)

No. 4
Starting from a DFT-relaxed cell (PBE, Alexandria), the powder diffractogram of Ac2HfPdO6 was simulated for Cu Kα (λ = 1.5418 Å).
No peak broadening, texture or thermal motion is included.

The 6 most intense peaks (2θ = 10–80°), in order of rising 2θ:
2theta	I (rel.)
29.26	100
30.02	23
32.20	22
44.60	21
52.84	16
55.62	18

Crystal structure
Cell lengths 5.5592, 9.2480, 5.9530 Å; angles 90.00, 90.00, 90.00 degrees
Positions (direct):
Ac (0.2500, 0.0316, 0.2366)
Ac (0.2500, 0.4684, 0.2366)
Ac (0.7500, 0.5316, 0.7634)
Ac (0.7500, 0.9684, 0.7634)
Hf (0.2500, 0.2500, 0.7867)
Hf (0.7500, 0.7500, 0.2133)
Pd (0.2500, 0.7500, 0.6935)
Pd (0.7500, 0.2500, 0.3065)
O (0.0015, 0.7500, 0.4514)
O (0.0177, 0.2500, 0.0736)
O (0.2500, 0.0290, 0.8347)
O (0.2500, 0.4710, 0.8347)
O (0.4823, 0.2500, 0.0736)
O (0.4985, 0.7500, 0.4514)
O (0.5015, 0.2500, 0.5486)
O (0.5177, 0.7500, 0.9264)
O (0.7500, 0.5290, 0.1653)
O (0.7500, 0.9710, 0.1653)
O (0.9823, 0.7500, 0.9264)
O (0.9985, 0.2500, 0.5486)

No. 5
Starting from a DFT-relaxed cell (PBE, Alexandria), the powder diffractogram of Ba3In2Au7 was simulated for Cu Kα (λ = 1.5418 Å).
No peak broadening, texture or thermal motion is included.

The 6 most intense peaks (2θ = 10–80°), in order of rising 2θ:
2theta	I (rel.)
26.93	41
31.91	100
32.82	49
35.76	40
37.46	91
54.02	32

Crystal structure
Cell lengths 15.3029, 15.3029, 15.3029 Å; angles 161.95, 161.95, 25.64 degrees
Positions (direct):
Ba (0.0000, 0.0000, 0.0000)
Ba (0.1739, 0.1739, 0.0000)
Ba (0.8261, 0.8261, 0.0000)
In (0.3799, 0.3799, 0.0000)
In (0.6201, 0.6201, 0.0000)
Au (0.0759, 0.5759, 0.5000)
Au (0.2853, 0.2853, 0.0000)
Au (0.4241, 0.9241, 0.5000)
Au (0.5000, 0.5000, 0.0000)
Au (0.5759, 0.0759, 0.5000)
Au (0.7147, 0.7147, 0.0000)
Au (0.9241, 0.4241, 0.5000)

No. 6
Starting from a DFT-relaxed cell (PBE, Alexandria), the powder diffractogram of PmNd2Y6Tm2 was simulated for Cu Kα (λ = 1.5418 Å).
No peak broadening, texture or thermal motion is included.

The 6 most intense peaks (2θ = 10–80°), in order of rising 2θ:
2theta	I (rel.)
30.47	21
30.81	18
31.47	35
31.98	100
33.44	21
56.35	20

Crystal structure
Cell lengths 6.6653, 6.6653, 10.7181 Å; angles 90.04, 90.04, 129.51 degrees
Positions (direct):
Pm (0.0000, 0.0000, 0.0000)
Nd (0.3643, 0.6357, 0.5000)
Nd (0.6357, 0.3643, 0.5000)
Y (0.1535, 0.8444, 0.2858)
Y (0.1556, 0.8465, 0.7142)
Y (0.4989, 0.4989, 0.2094)
Y (0.5011, 0.5011, 0.7906)
Y (0.8444, 0.1535, 0.2858)
Y (0.8465, 0.1556, 0.7142)
Tm (0.2990, 0.7010, 0.0000)
Tm (0.7010, 0.2990, 0.0000)

No. 7
Starting from a DFT-relaxed cell (PBE, Alexandria), the powder diffractogram of Sc5Ga4Ag was simulated for Cu Kα (λ = 1.5418 Å).
No peak broadening, texture or thermal motion is included.

The 6 most intense peaks (2θ = 10–80°), in order of rising 2θ:
2theta	I (rel.)
26.62	10
37.58	100
38.00	49
54.83	16
67.54	16
68.38	31

Crystal structure
Cell lengths 3.3486, 3.3486, 17.1112 Å; angles 90.00, 90.00, 90.00 degrees
Positions (direct):
Sc (0.0000, 0.0000, 0.0000)
Sc (0.0000, 0.0000, 0.1972)
Sc (0.0000, 0.0000, 0.3948)
Sc (0.0000, 0.0000, 0.6052)
Sc (0.0000, 0.0000, 0.8028)
Ga (0.5000, 0.5000, 0.0986)
Ga (0.5000, 0.5000, 0.2977)
Ga (0.5000, 0.5000, 0.7023)
Ga (0.5000, 0.5000, 0.9014)
Ag (0.5000, 0.5000, 0.5000)

No. 8
Starting from a DFT-relaxed cell (PBE, Alexandria), the powder diffractogram of MnAl6Co was simulated for Cu Kα (λ = 1.5418 Å).
No peak broadening, texture or thermal motion is included.

The 6 most intense peaks (2θ = 10–80°), in order of rising 2θ:
2theta	I (rel.)
21.19	49
30.82	90
43.16	100
43.66	99
53.97	26
71.48	17

Crystal structure
Cell lengths 5.2802, 5.2802, 5.2802 Å; angles 105.10, 105.10, 105.10 degrees
Positions (direct):
Mn (0.0000, 0.0000, 0.0000)
Al (0.2205, 0.2205, 0.6691)
Al (0.2205, 0.6691, 0.2205)
Al (0.3309, 0.7795, 0.7795)
Al (0.6691, 0.2205, 0.2205)
Al (0.7795, 0.3309, 0.7795)
Al (0.7795, 0.7795, 0.3309)
Co (0.5000, 0.5000, 0.5000)

No. 9
Starting from a DFT-relaxed cell (PBE, Alexandria), the powder diffractogram of Tb7Pr2Ho was simulated for Cu Kα (λ = 1.5418 Å).
No peak broadening, texture or thermal motion is included.

The 6 most intense peaks (2θ = 10–80°), in order of rising 2θ:
2theta	I (rel.)
30.52	100
35.37	34
35.43	17
50.89	24
60.44	14
60.58	29

Crystal structure
Cell lengths 6.2110, 7.1677, 8.0298 Å; angles 77.21, 74.95, 73.24 degrees
Positions (direct):
Tb (0.0000, 0.0000, 0.0000)
Tb (0.1995, 0.7999, 0.6016)
Tb (0.3985, 0.1010, 0.1973)
Tb (0.3998, 0.6006, 0.1977)
Tb (0.6002, 0.3994, 0.8023)
Tb (0.6015, 0.8990, 0.8027)
Tb (0.8005, 0.2001, 0.3984)
Pr (0.2014, 0.2989, 0.6015)
Pr (0.7986, 0.7011, 0.3985)
Ho (0.0000, 0.5000, 0.0000)

No. 10
Starting from a DFT-relaxed cell (PBE, Alexandria), the powder diffractogram of La2YAg2 was simulated for Cu Kα (λ = 1.5418 Å).
No peak broadening, texture or thermal motion is included.

The 6 most intense peaks (2θ = 10–80°), in order of rising 2θ:
2theta	I (rel.)
27.55	43
33.40	100
35.12	51
35.26	62
36.64	19
39.29	20

Crystal structure
Cell lengths 6.6701, 5.1110, 8.8727 Å; angles 90.00, 109.05, 90.00 degrees
Positions (direct):
La (0.0941, 0.2500, 0.3712)
La (0.1211, 0.2500, 0.9549)
La (0.8789, 0.7500, 0.0451)
La (0.9059, 0.7500, 0.6288)
Y (0.4562, 0.7500, 0.2386)
Y (0.5438, 0.2500, 0.7614)
Ag (0.3713, 0.7500, 0.8872)
Ag (0.3860, 0.7500, 0.5572)
Ag (0.6140, 0.2500, 0.4428)
Ag (0.6287, 0.2500, 0.1128)

No. 11
Starting from a DFT-relaxed cell (PBE, Alexandria), the powder diffractogram of B5HRh12 was simulated for Cu Kα (λ = 1.5418 Å).
No peak broadening, texture or thermal motion is included.

The 6 most intense peaks (2θ = 10–80°), in order of rising 2θ:
2theta	I (rel.)
34.55	49
36.23	19
37.11	75
40.45	100
41.20	99
68.62	20

Crystal structure
Cell lengths 4.9748, 4.9748, 9.7019 Å; angles 91.35, 91.35, 117.03 degrees
Positions (direct):
B (0.0000, 0.0000, 0.0000)
B (0.1589, 0.8411, 0.5000)
B (0.3330, 0.6670, 0.0000)
B (0.6670, 0.3330, 0.0000)
B (0.8411, 0.1589, 0.5000)
H (0.5000, 0.5000, 0.5000)
Rh (0.0373, 0.3701, 0.1322)
Rh (0.1520, 0.4873, 0.6295)
Rh (0.2031, 0.2031, 0.3737)
Rh (0.2980, 0.2980, 0.8686)
Rh (0.3701, 0.0373, 0.1322)
Rh (0.4873, 0.1520, 0.6295)
Rh (0.5127, 0.8480, 0.3705)
Rh (0.6299, 0.9627, 0.8678)
Rh (0.7020, 0.7020, 0.1314)
Rh (0.7969, 0.7969, 0.6263)
Rh (0.8480, 0.5127, 0.3705)
Rh (0.9627, 0.6299, 0.8678)

No. 12
Starting from a DFT-relaxed cell (PBE, Alexandria), the powder diffractogram of Cd2Ga was simulated for Cu Kα (λ = 1.5418 Å).
No peak broadening, texture or thermal motion is included.

The 6 most intense peaks (2θ = 10–80°), in order of rising 2θ:
2theta	I (rel.)
32.47	43
36.14	100
40.83	46
41.15	23
56.96	16
61.70	13

Crystal structure
Cell lengths 9.7335, 3.0123, 10.4095 Å; angles 90.00, 121.80, 90.00 degrees
Positions (direct):
Cd (0.1731, 0.9997, 0.1713)
Cd (0.1731, 0.0003, 0.6713)
Cd (0.1730, 0.5001, 0.4212)
Cd (0.1730, 0.4999, 0.9212)
Cd (0.8269, 0.9997, 0.3287)
Cd (0.8269, 0.0003, 0.8287)
Cd (0.8270, 0.5001, 0.0788)
Cd (0.8270, 0.4999, 0.5788)
Ga (0.5000, 0.0000, 0.0000)
Ga (0.5000, 0.0000, 0.5000)
Ga (0.5000, 0.4981, 0.2500)
Ga (0.5000, 0.5019, 0.7500)